(1)
Starting from a DFT-relaxed cell (PBE, the Materials Project), the powder diffractogram of MnCo3C was computed for Cu Kα (weighted mean of Kα1 and Kα2).
Peak positions follow from Bragg's law for the DFT cell and can differ from measured ones.

Crystal structure
```
data_MnCo3C
_symmetry_space_group_name_H-M 'P 1'
_symmetry_Int_Tables_number 1
_cell_length_a 3.7543
_cell_length_b 3.7543
_cell_length_c 3.7543
_cell_angle_alpha 90.00
_cell_angle_beta 90.00
_cell_angle_gamma 90.00
loop_
_symmetry_equiv_pos_as_xyz
'x,y,z'
loop_
_atom_site_label
_atom_site_type_symbol
_atom_site_fract_x
_atom_site_fract_y
_atom_site_fract_z
_atom_site_occupancy
Mn1 Mn 0.0000 0.0000 0.0000 1
Co1 Co 0.0000 0.5000 0.5000 1
Co2 Co 0.5000 0.0000 0.5000 1
Co3 Co 0.5000 0.5000 0.0000 1
C1 C 0.5000 0.5000 0.5000 1
```

Most intense lines, 10 to 80 degrees two-theta, low angle first:
- 23.70°, rel. 20
- 41.67°, rel. 1000
- 48.50°, rel. 548
- 54.67°, rel. 6
- 71.01°, rel. 313


(2)
Starting from a DFT-relaxed cell (PBE, the Materials Project), the powder diffractogram of Co6Mo6C was computed for Cu Kα (weighted mean of Kα1 and Kα2).
Peak positions follow from Bragg's law for the DFT cell and can differ from measured ones.

Crystal structure
```
data_Co6Mo6C
_symmetry_space_group_name_H-M 'P 1'
_symmetry_Int_Tables_number 1
_cell_length_a 7.6824
_cell_length_b 7.6824
_cell_length_c 7.6824
_cell_angle_alpha 60.00
_cell_angle_beta 60.00
_cell_angle_gamma 60.00
loop_
_symmetry_equiv_pos_as_xyz
'x,y,z'
loop_
_atom_site_label
_atom_site_type_symbol
_atom_site_fract_x
_atom_site_fract_y
_atom_site_fract_z
_atom_site_occupancy
Co1 Co 0.0000 0.0000 0.0000 1
Co2 Co 0.0000 0.0000 0.5000 1
Co3 Co 0.0000 0.5000 0.0000 1
Co4 Co 0.1229 0.7924 0.7924 1
Co5 Co 0.2076 0.2076 0.2076 1
Co6 Co 0.2076 0.2076 0.8771 1
Co7 Co 0.2076 0.8771 0.2076 1
Co8 Co 0.5000 0.0000 0.0000 1
Co9 Co 0.7924 0.1229 0.7924 1
Co10 Co 0.7924 0.7924 0.1229 1
Co11 Co 0.7924 0.7924 0.7924 1
Co12 Co 0.8771 0.2076 0.2076 1
Mo1 Mo 0.1769 0.1769 0.5731 1
Mo2 Mo 0.1769 0.5731 0.1769 1
Mo3 Mo 0.1769 0.5731 0.5731 1
Mo4 Mo 0.4269 0.4269 0.8231 1
Mo5 Mo 0.4269 0.8231 0.4269 1
Mo6 Mo 0.4269 0.8231 0.8231 1
Mo7 Mo 0.5731 0.1769 0.1769 1
Mo8 Mo 0.5731 0.1769 0.5731 1
Mo9 Mo 0.5731 0.5731 0.1769 1
Mo10 Mo 0.8231 0.4269 0.4269 1
Mo11 Mo 0.8231 0.4269 0.8231 1
Mo12 Mo 0.8231 0.8231 0.4269 1
C1 C 0.3750 0.3750 0.3750 1
C2 C 0.6250 0.6250 0.6250 1
```

Most intense lines, 10 to 80 degrees two-theta, low angle first:
- 32.98°, rel. 94
- 36.03°, rel. 157
- 40.68°, rel. 373
- 43.27°, rel. 1000
- 47.33°, rel. 361
- 50.40°, rel. 65
- 66.05°, rel. 82
- 71.01°, rel. 84
- 74.04°, rel. 332
- 75.83°, rel. 93


(3)
Starting from a DFT-relaxed cell (PBE, the Materials Project), the powder diffractogram of CoC4N6 was computed for Cu Kα (weighted mean of Kα1 and Kα2).
Peak positions follow from Bragg's law for the DFT cell and can differ from measured ones.

Crystal structure
```
data_CoC4N6
_symmetry_space_group_name_H-M 'P 1'
_symmetry_Int_Tables_number 1
_cell_length_a 6.0793
_cell_length_b 7.1472
_cell_length_c 7.3421
_cell_angle_alpha 90.00
_cell_angle_beta 90.00
_cell_angle_gamma 90.00
loop_
_symmetry_equiv_pos_as_xyz
'x,y,z'
loop_
_atom_site_label
_atom_site_type_symbol
_atom_site_fract_x
_atom_site_fract_y
_atom_site_fract_z
_atom_site_occupancy
Co1 Co 0.0000 0.0000 0.0000 1
Co2 Co 0.5000 0.5000 0.5000 1
C1 C 0.2435 0.3442 0.1538 1
C2 C 0.2435 0.3442 0.8462 1
C3 C 0.2565 0.8442 0.3462 1
C4 C 0.2565 0.8442 0.6538 1
C5 C 0.7435 0.1558 0.3462 1
C6 C 0.7435 0.1558 0.6538 1
C7 C 0.7565 0.6558 0.1538 1
C8 C 0.7565 0.6558 0.8462 1
N1 N 0.1747 0.2716 0.0000 1
N2 N 0.2005 0.9015 0.2036 1
N3 N 0.2005 0.9015 0.7964 1
N4 N 0.2995 0.4015 0.2964 1
N5 N 0.2995 0.4015 0.7036 1
N6 N 0.3253 0.7716 0.5000 1
N7 N 0.6747 0.2284 0.5000 1
N8 N 0.7005 0.5985 0.2964 1
N9 N 0.7005 0.5985 0.7036 1
N10 N 0.7995 0.0985 0.2036 1
N11 N 0.7995 0.0985 0.7964 1
N12 N 0.8253 0.7284 0.0000 1
```

Most intense lines, 10 to 80 degrees two-theta, low angle first:
- 17.32°, rel. 569
- 18.95°, rel. 1000
- 19.17°, rel. 787
- 22.70°, rel. 302
- 28.98°, rel. 509
- 31.09°, rel. 201
- 31.49°, rel. 210
- 34.31°, rel. 290
- 38.45°, rel. 216
- 39.75°, rel. 247


(4)
Starting from a DFT-relaxed cell (PBE, the Materials Project), the powder diffractogram of CoC2N3 was computed for Cu Kα (weighted mean of Kα1 and Kα2).
Peak positions follow from Bragg's law for the DFT cell and can differ from measured ones.

Crystal structure
```
data_CoC2N3
_symmetry_space_group_name_H-M 'P 1'
_symmetry_Int_Tables_number 1
_cell_length_a 3.0858
_cell_length_b 3.0858
_cell_length_c 21.9540
_cell_angle_alpha 90.00
_cell_angle_beta 90.00
_cell_angle_gamma 120.00
loop_
_symmetry_equiv_pos_as_xyz
'x,y,z'
loop_
_atom_site_label
_atom_site_type_symbol
_atom_site_fract_x
_atom_site_fract_y
_atom_site_fract_z
_atom_site_occupancy
Co1 Co 0.0000 0.3482 0.1667 1
Co2 Co 0.3482 0.0000 0.8333 1
Co3 Co 0.6518 0.6518 0.5000 1
C1 C 0.0094 0.3309 0.7231 1
C2 C 0.3216 0.9906 0.3897 1
C3 C 0.3309 0.0094 0.2769 1
C4 C 0.6691 0.6784 0.0564 1
C5 C 0.6784 0.6691 0.9436 1
C6 C 0.9906 0.3216 0.6103 1
N1 N 0.0000 0.3140 0.6667 1
N2 N 0.0157 0.3339 0.7787 1
N3 N 0.3140 0.0000 0.3333 1
N4 N 0.3182 0.9843 0.4453 1
N5 N 0.3339 0.0157 0.2213 1
N6 N 0.6661 0.6818 0.1120 1
N7 N 0.6818 0.6661 0.8880 1
N8 N 0.6860 0.6860 0.0000 1
N9 N 0.9843 0.3182 0.5547 1
```

Most intense lines, 10 to 80 degrees two-theta, low angle first:
- 12.09°, rel. 1000
- 24.33°, rel. 201
- 34.54°, rel. 868
- 37.43°, rel. 214
- 39.47°, rel. 382
- 44.54°, rel. 158
- 47.49°, rel. 207
- 54.06°, rel. 131
- 59.96°, rel. 210
- 61.41°, rel. 91


(5)
Starting from a DFT-relaxed cell (PBE, the Materials Project), the powder diffractogram of CoC2N3 was computed for Cu Kα (weighted mean of Kα1 and Kα2).
Peak positions follow from Bragg's law for the DFT cell and can differ from measured ones.

Crystal structure
```
data_CoC2N3
_symmetry_space_group_name_H-M 'P 1'
_symmetry_Int_Tables_number 1
_cell_length_a 8.3978
_cell_length_b 8.3978
_cell_length_c 5.0497
_cell_angle_alpha 91.41
_cell_angle_beta 91.41
_cell_angle_gamma 88.46
loop_
_symmetry_equiv_pos_as_xyz
'x,y,z'
loop_
_atom_site_label
_atom_site_type_symbol
_atom_site_fract_x
_atom_site_fract_y
_atom_site_fract_z
_atom_site_occupancy
Co1 Co 0.0166 0.9834 0.7500 1
Co2 Co 0.4779 0.5221 0.2500 1
Co3 Co 0.5221 0.4779 0.7500 1
Co4 Co 0.9834 0.0166 0.2500 1
C1 C 0.0729 0.6956 0.3780 1
C2 C 0.2506 0.5310 0.1468 1
C3 C 0.3044 0.9271 0.1220 1
C4 C 0.4690 0.7494 0.3532 1
C5 C 0.5310 0.2506 0.6468 1
C6 C 0.6956 0.0729 0.8780 1
C7 C 0.7494 0.4690 0.8532 1
C8 C 0.9271 0.3044 0.6220 1
N1 N 0.0232 0.8191 0.4762 1
N2 N 0.1115 0.5681 0.2582 1
N3 N 0.1809 0.9768 0.0238 1
N4 N 0.3166 0.4835 0.9431 1
N5 N 0.4319 0.8885 0.2418 1
N6 N 0.4835 0.3166 0.4431 1
N7 N 0.5165 0.6834 0.5569 1
N8 N 0.5681 0.1115 0.7582 1
N9 N 0.6834 0.5165 0.0569 1
N10 N 0.8191 0.0232 0.9762 1
N11 N 0.8885 0.4319 0.7418 1
N12 N 0.9768 0.1809 0.5238 1
```

Most intense lines, 10 to 80 degrees two-theta, low angle first:
- 14.73°, rel. 1000
- 15.12°, rel. 367
- 21.17°, rel. 780
- 27.31°, rel. 187
- 33.50°, rel. 246
- 41.31°, rel. 108
- 42.23°, rel. 91
- 43.12°, rel. 110
- 47.56°, rel. 102
- 50.47°, rel. 133


(6)
Starting from a DFT-relaxed cell (PBE, the Materials Project), the powder diffractogram of CoCN was computed for Cu Kα (weighted mean of Kα1 and Kα2).
Peak positions follow from Bragg's law for the DFT cell and can differ from measured ones.

Crystal structure
```
data_CoCN
_symmetry_space_group_name_H-M 'P 1'
_symmetry_Int_Tables_number 1
_cell_length_a 3.9537
_cell_length_b 3.9537
_cell_length_c 3.9537
_cell_angle_alpha 41.54
_cell_angle_beta 41.54
_cell_angle_gamma 41.54
loop_
_symmetry_equiv_pos_as_xyz
'x,y,z'
loop_
_atom_site_label
_atom_site_type_symbol
_atom_site_fract_x
_atom_site_fract_y
_atom_site_fract_z
_atom_site_occupancy
Co1 Co 0.0000 0.0000 0.0000 1
C1 C 0.5576 0.5576 0.5576 1
N1 N 0.4407 0.4407 0.4407 1
```

Most intense lines, 10 to 80 degrees two-theta, low angle first:
- 24.68°, rel. 528
- 37.98°, rel. 320
- 40.73°, rel. 1000
- 50.51°, rel. 339
- 50.61°, rel. 67
- 57.00°, rel. 252
- 66.72°, rel. 215
- 72.31°, rel. 148
- 72.48°, rel. 152
- 79.76°, rel. 41


(7)
Starting from a DFT-relaxed cell (PBE, the Materials Project), the powder diffractogram of CoC2N2 was computed for Cu Kα (weighted mean of Kα1 and Kα2).
Peak positions follow from Bragg's law for the DFT cell and can differ from measured ones.

Crystal structure
```
data_CoC2N2
_symmetry_space_group_name_H-M 'P 1'
_symmetry_Int_Tables_number 1
_cell_length_a 4.8671
_cell_length_b 4.8673
_cell_length_c 13.8795
_cell_angle_alpha 90.05
_cell_angle_beta 90.02
_cell_angle_gamma 90.62
loop_
_symmetry_equiv_pos_as_xyz
'x,y,z'
loop_
_atom_site_label
_atom_site_type_symbol
_atom_site_fract_x
_atom_site_fract_y
_atom_site_fract_z
_atom_site_occupancy
Co1 Co 0.0270 0.4717 0.4015 1
Co2 Co 0.4626 0.0155 0.9015 1
Co3 Co 0.5374 0.9845 0.0985 1
Co4 Co 0.9730 0.5283 0.5985 1
C1 C 0.0215 0.8469 0.3961 1
C2 C 0.1623 0.9906 0.1039 1
C3 C 0.3482 0.5228 0.6039 1
C4 C 0.4677 0.6400 0.8963 1
C5 C 0.5323 0.3600 0.1037 1
C6 C 0.6518 0.4772 0.3961 1
C7 C 0.8377 0.0094 0.8961 1
C8 C 0.9785 0.1531 0.6039 1
N1 N 0.0216 0.0878 0.3926 1
N2 N 0.0786 0.0091 0.8923 1
N3 N 0.4108 0.4769 0.3926 1
N4 N 0.4671 0.3991 0.8929 1
N5 N 0.5329 0.6009 0.1071 1
N6 N 0.5892 0.5231 0.6074 1
N7 N 0.9214 0.9909 0.1077 1
N8 N 0.9784 0.9122 0.6074 1
```

Most intense lines, 10 to 80 degrees two-theta, low angle first:
- 12.76°, rel. 244
- 19.33°, rel. 1000
- 25.68°, rel. 385
- 26.58°, rel. 63
- 36.94°, rel. 218
- 37.29°, rel. 263
- 38.93°, rel. 88
- 45.53°, rel. 142
- 54.75°, rel. 72
- 57.17°, rel. 66


(8)
Starting from a DFT-relaxed cell (PBE, the Materials Project), the powder diffractogram of CoC2N2 was computed for Cu Kα (weighted mean of Kα1 and Kα2).
Peak positions follow from Bragg's law for the DFT cell and can differ from measured ones.

Crystal structure
```
data_CoC2N2
_symmetry_space_group_name_H-M 'P 1'
_symmetry_Int_Tables_number 1
_cell_length_a 5.7618
_cell_length_b 5.7618
_cell_length_c 5.7618
_cell_angle_alpha 90.00
_cell_angle_beta 90.00
_cell_angle_gamma 90.00
loop_
_symmetry_equiv_pos_as_xyz
'x,y,z'
loop_
_atom_site_label
_atom_site_type_symbol
_atom_site_fract_x
_atom_site_fract_y
_atom_site_fract_z
_atom_site_occupancy
Co1 Co 0.0000 0.0000 0.0000 1
Co2 Co 0.5000 0.5000 0.5000 1
C1 C 0.1910 0.1910 0.1910 1
C2 C 0.1910 0.8090 0.8090 1
C3 C 0.8090 0.1910 0.8090 1
C4 C 0.8090 0.8090 0.1910 1
N1 N 0.3086 0.3086 0.3086 1
N2 N 0.3086 0.6914 0.6914 1
N3 N 0.6914 0.3086 0.6914 1
N4 N 0.6914 0.6914 0.3086 1
```

Most intense lines, 10 to 80 degrees two-theta, low angle first:
- 21.81°, rel. 1000
- 26.80°, rel. 150
- 31.04°, rel. 26
- 38.26°, rel. 312
- 44.47°, rel. 221
- 50.06°, rel. 97
- 55.23°, rel. 21
- 60.08°, rel. 230
- 69.17°, rel. 116
- 73.51°, rel. 42


(9)
Starting from a DFT-relaxed cell (PBE, the Materials Project), the powder diffractogram of CoC2N2 was computed for Cu Kα (weighted mean of Kα1 and Kα2).
Peak positions follow from Bragg's law for the DFT cell and can differ from measured ones.

Crystal structure
```
data_CoC2N2
_symmetry_space_group_name_H-M 'P 1'
_symmetry_Int_Tables_number 1
_cell_length_a 4.8616
_cell_length_b 4.8616
_cell_length_c 13.9522
_cell_angle_alpha 90.00
_cell_angle_beta 90.00
_cell_angle_gamma 90.56
loop_
_symmetry_equiv_pos_as_xyz
'x,y,z'
loop_
_atom_site_label
_atom_site_type_symbol
_atom_site_fract_x
_atom_site_fract_y
_atom_site_fract_z
_atom_site_occupancy
Co1 Co 0.0284 0.9716 0.9019 1
Co2 Co 0.4716 0.5284 0.4019 1
Co3 Co 0.5284 0.4716 0.5981 1
Co4 Co 0.9716 0.0284 0.0981 1
C1 C 0.0229 0.3470 0.8966 1
C2 C 0.1530 0.4771 0.6034 1
C3 C 0.3470 0.0229 0.1034 1
C4 C 0.4771 0.1530 0.3966 1
C5 C 0.5229 0.8470 0.6034 1
C6 C 0.6530 0.9771 0.8966 1
C7 C 0.8470 0.5229 0.3966 1
C8 C 0.9771 0.6530 0.1034 1
N1 N 0.0233 0.5876 0.8933 1
N2 N 0.0876 0.5233 0.3933 1
N3 N 0.4124 0.9767 0.8933 1
N4 N 0.4767 0.9124 0.3933 1
N5 N 0.5233 0.0876 0.6067 1
N6 N 0.5876 0.0233 0.1067 1
N7 N 0.9124 0.4767 0.6067 1
N8 N 0.9767 0.4124 0.1067 1
```

Most intense lines, 10 to 80 degrees two-theta, low angle first:
- 12.69°, rel. 258
- 19.34°, rel. 1000
- 25.54°, rel. 367
- 36.98°, rel. 207
- 37.15°, rel. 265
- 38.72°, rel. 92
- 41.91°, rel. 72
- 45.48°, rel. 139
- 54.62°, rel. 72
- 57.23°, rel. 65


(10)
Starting from a DFT-relaxed cell (PBE, the Materials Project), the powder diffractogram of CoC6N9 was computed for Cu Kα (weighted mean of Kα1 and Kα2).
Peak positions follow from Bragg's law for the DFT cell and can differ from measured ones.

Crystal structure
```
data_CoC6N9
_symmetry_space_group_name_H-M 'P 1'
_symmetry_Int_Tables_number 1
_cell_length_a 7.3549
_cell_length_b 7.3549
_cell_length_c 12.1121
_cell_angle_alpha 90.00
_cell_angle_beta 90.00
_cell_angle_gamma 121.72
loop_
_symmetry_equiv_pos_as_xyz
'x,y,z'
loop_
_atom_site_label
_atom_site_type_symbol
_atom_site_fract_x
_atom_site_fract_y
_atom_site_fract_z
_atom_site_occupancy
Co1 Co 0.1973 0.8027 0.7500 1
Co2 Co 0.8027 0.1973 0.2500 1
C1 C 0.0165 0.3033 0.7500 1
C2 C 0.1961 0.4846 0.1009 1
C3 C 0.1961 0.4846 0.3991 1
C4 C 0.3033 0.0165 0.2500 1
C5 C 0.4846 0.1961 0.6009 1
C6 C 0.4846 0.1961 0.8991 1
C7 C 0.5154 0.8039 0.1009 1
C8 C 0.5154 0.8039 0.3991 1
C9 C 0.6967 0.9835 0.7500 1
C10 C 0.8039 0.5154 0.6009 1
C11 C 0.8039 0.5154 0.8991 1
C12 C 0.9835 0.6967 0.2500 1
N1 N 0.0563 0.3224 0.1383 1
N2 N 0.0563 0.3224 0.3618 1
N3 N 0.0976 0.9024 0.2500 1
N4 N 0.1333 0.4908 0.7500 1
N5 N 0.3224 0.0563 0.6382 1
N6 N 0.3224 0.0563 0.8618 1
N7 N 0.3414 0.6586 0.0538 1
N8 N 0.3414 0.6586 0.4462 1
N9 N 0.4908 0.1333 0.2500 1
N10 N 0.5092 0.8667 0.7500 1
N11 N 0.6586 0.3414 0.5538 1
N12 N 0.6586 0.3414 0.9462 1
N13 N 0.6776 0.9437 0.1383 1
N14 N 0.6776 0.9437 0.3618 1
N15 N 0.8667 0.5092 0.2500 1
N16 N 0.9024 0.0976 0.7500 1
N17 N 0.9437 0.6776 0.6382 1
N18 N 0.9437 0.6776 0.8618 1
```

Most intense lines, 10 to 80 degrees two-theta, low angle first:
- 13.79°, rel. 1000
- 14.63°, rel. 953
- 15.61°, rel. 540
- 15.94°, rel. 469
- 20.41°, rel. 498
- 25.32°, rel. 266
- 26.07°, rel. 585
- 26.27°, rel. 560
- 27.77°, rel. 353
- 28.40°, rel. 528


(11)
Starting from a DFT-relaxed cell (PBE, the Materials Project), the powder diffractogram of PrCoC6N6 was computed for Cu Kα (weighted mean of Kα1 and Kα2).
Peak positions follow from Bragg's law for the DFT cell and can differ from measured ones.

Crystal structure
```
data_PrCoC6N6
_symmetry_space_group_name_H-M 'P 1'
_symmetry_Int_Tables_number 1
_cell_length_a 7.6684
_cell_length_b 7.6684
_cell_length_c 13.2304
_cell_angle_alpha 90.00
_cell_angle_beta 90.00
_cell_angle_gamma 120.00
loop_
_symmetry_equiv_pos_as_xyz
'x,y,z'
loop_
_atom_site_label
_atom_site_type_symbol
_atom_site_fract_x
_atom_site_fract_y
_atom_site_fract_z
_atom_site_occupancy
Pr1 Pr 0.3333 0.6667 0.2500 1
Pr2 Pr 0.6667 0.3333 0.7500 1
Co1 Co 0.0000 0.0000 0.0000 1
Co2 Co 0.0000 0.0000 0.5000 1
C1 C 0.1146 0.2292 0.0814 1
C2 C 0.1146 0.2292 0.4186 1
C3 C 0.1146 0.8854 0.0814 1
C4 C 0.1146 0.8854 0.4186 1
C5 C 0.2292 0.1146 0.5814 1
C6 C 0.2292 0.1146 0.9186 1
C7 C 0.7708 0.8854 0.0814 1
C8 C 0.7708 0.8854 0.4186 1
C9 C 0.8854 0.1146 0.5814 1
C10 C 0.8854 0.1146 0.9186 1
C11 C 0.8854 0.7708 0.5814 1
C12 C 0.8854 0.7708 0.9186 1
N1 N 0.1861 0.3723 0.1330 1
N2 N 0.1861 0.3723 0.3670 1
N3 N 0.1861 0.8139 0.1330 1
N4 N 0.1861 0.8139 0.3670 1
N5 N 0.3723 0.1861 0.6330 1
N6 N 0.3723 0.1861 0.8670 1
N7 N 0.6277 0.8139 0.1330 1
N8 N 0.6277 0.8139 0.3670 1
N9 N 0.8139 0.1861 0.6330 1
N10 N 0.8139 0.1861 0.8670 1
N11 N 0.8139 0.6277 0.6330 1
N12 N 0.8139 0.6277 0.8670 1
```

Most intense lines, 10 to 80 degrees two-theta, low angle first:
- 14.93°, rel. 1000
- 18.94°, rel. 600
- 23.20°, rel. 234
- 24.23°, rel. 122
- 30.12°, rel. 137
- 33.79°, rel. 231
- 35.86°, rel. 256
- 36.43°, rel. 194
- 49.54°, rel. 128
- 50.05°, rel. 119